# 1
The following is a theoretical powder diffractogram of CsLa3. It was derived from a crystal structure in the Materials Project, relaxed with GGA-PBE, using Cu Kα (weighted mean of Kα1 and Kα2).
Lines closer than 0.1° are merged.

Atomic structure:
a = 5.4929 Å, b = 5.4929 Å, c = 5.4929 Å
α = 90.00°, β = 90.00°, γ = 90.00°
Sites, in units of the cell vectors:
Cs1 0.0000 0.0000 0.0000
La1 0.0000 0.5000 0.5000
La2 0.5000 0.0000 0.5000
La3 0.5000 0.5000 0.0000

Principal peaks in the range 10° ≤ 2θ ≤ 90°, in order of rising 2θ:
hkl, 2θ (°), I (rel.)
1 1 1, 28.14, 1000
2 0 0, 32.60, 509
2 2 0, 46.78, 370
3 1 1, 55.48, 445
2 2 2, 58.18, 128
4 0 0, 68.30, 59
3 3 1, 75.43, 179
4 2 0, 77.76, 165
4 2 2, 86.88, 127

# 2
The following is a theoretical powder diffractogram of CsLaMg14O16. It was derived from a crystal structure in the Materials Project, relaxed with GGA-PBE, using Cu Kα (weighted mean of Kα1 and Kα2).
Lines closer than 0.1° are merged.

Atomic structure:
a = 4.5737 Å, b = 8.9066 Å, c = 9.2149 Å
α = 90.00°, β = 90.00°, γ = 90.00°
Sites, in units of the cell vectors:
Cs1 0.0000 0.0000 0.0000
La1 0.0000 0.0000 0.5000
Mg1 0.0000 0.2666 0.2426
Mg2 0.0000 0.2666 0.7574
Mg3 0.0000 0.5000 0.0000
Mg4 0.0000 0.5000 0.5000
Mg5 0.0000 0.7334 0.2426
Mg6 0.0000 0.7334 0.7574
Mg7 0.5000 0.0000 0.2403
Mg8 0.5000 0.0000 0.7597
Mg9 0.5000 0.2660 0.0000
Mg10 0.5000 0.2692 0.5000
Mg11 0.5000 0.5000 0.2478
Mg12 0.5000 0.5000 0.7522
Mg13 0.5000 0.7308 0.5000
Mg14 0.5000 0.7340 0.0000
O1 0.0000 0.0000 0.2652
O2 0.0000 0.0000 0.7348
O3 0.0000 0.2737 0.5000
O4 0.0000 0.2883 0.0000
O5 0.0000 0.5000 0.2555
O6 0.0000 0.5000 0.7445
O7 0.0000 0.7117 0.0000
O8 0.0000 0.7263 0.5000
O9 0.5000 0.0000 0.0000
O10 0.5000 0.0000 0.5000
O11 0.5000 0.2523 0.2490
O12 0.5000 0.2523 0.7510
O13 0.5000 0.5000 0.0000
O14 0.5000 0.5000 0.5000
O15 0.5000 0.7477 0.2490
O16 0.5000 0.7477 0.7510

Principal peaks in the range 10° ≤ 2θ ≤ 90°, in order of rising 2θ:
hkl, 2θ (°), I (rel.)
0 1 2, 21.72, 484
1 1 0, 21.84, 478
1 1 2, 29.28, 560
1 2 2, 34.18, 968
0 3 2, 36.03, 401
0 0 4, 39.10, 1000
2 0 0, 39.40, 990
0 4 0, 40.51, 905
2 0 4, 56.72, 602
0 4 4, 57.57, 526
2 4 0, 57.79, 586
2 4 4, 72.00, 499